[1]
Li2Ac3In9: theoretical X-ray diffraction stick pattern (Cu Kα), based on DFT lattice parameters and positions (PBE).
Intensities are scaled so that the largest is 100.

Cell and atoms:
Lattice parameters (Å, degrees): 9.358 9.358 9.358 149.79 107.40 80.61
Positions (direct):
1 Li 0.208 0.000 0.208
2 Li 0.792 0.000 0.792
3 Ac 0.188 0.188 0.000
4 Ac 0.500 0.500 0.000
5 Ac 0.812 0.812 0.000
6 In 0.000 0.500 0.500
7 In 0.089 0.367 0.723
8 In 0.206 0.839 0.367
9 In 0.356 0.633 0.723
10 In 0.472 0.839 0.633
11 In 0.528 0.161 0.367
12 In 0.644 0.367 0.277
13 In 0.794 0.161 0.633
14 In 0.911 0.633 0.277

The 6 most intense peaks (2θ = 10–90°), most intense first:
2θ 30.82, rel. 100; 2θ 30.36, rel. 61; 2θ 26.17, rel. 45; 2θ 37.85, rel. 42; 2θ 36.86, rel. 41; 2θ 29.78, rel. 31

---

[2]
Ac8Tb4Sm: theoretical X-ray diffraction stick pattern (Cu Kα), based on DFT lattice parameters and positions (PBE).
Intensities are scaled so that the largest is 100.

Cell and atoms:
Lattice parameters (Å, degrees): 8.334 8.334 8.334 90.07 90.07 90.07
Positions (direct):
1 Ac 0.241 0.241 0.241
2 Ac 0.241 0.241 0.758
3 Ac 0.241 0.758 0.241
4 Ac 0.242 0.759 0.759
5 Ac 0.758 0.241 0.241
6 Ac 0.759 0.242 0.759
7 Ac 0.759 0.759 0.242
8 Ac 0.759 0.759 0.759
9 Tb 0.000 0.000 0.000
10 Tb 0.000 0.500 0.500
11 Tb 0.500 0.000 0.500
12 Tb 0.500 0.500 0.000
13 Sm 0.500 0.500 0.500

The 6 most intense peaks (2θ = 10–90°), most intense first:
2θ 30.34, rel. 100; 2θ 53.90, rel. 40; 2θ 43.43, rel. 19; 2θ 21.32, rel. 17; 2θ 71.61, rel. 17; 2θ 87.58, rel. 15

---

[3]
Ce2Nd3Pb3: theoretical X-ray diffraction stick pattern (Cu Kα), based on DFT lattice parameters and positions (PBE).
Intensities are scaled so that the largest is 100.

Cell and atoms:
Lattice parameters (Å, degrees): 9.499 9.499 6.583 90.00 90.00 120.00
Positions (direct):
1 Ce 0.333 0.667 0.000
2 Ce 0.333 0.667 0.500
3 Ce 0.667 0.333 0.000
4 Ce 0.667 0.333 0.500
5 Nd 0.000 0.245 0.250
6 Nd 0.000 0.755 0.750
7 Nd 0.245 0.000 0.250
8 Nd 0.245 0.245 0.750
9 Nd 0.755 0.000 0.750
10 Nd 0.755 0.755 0.250
11 Pb 0.000 0.390 0.750
12 Pb 0.000 0.610 0.250
13 Pb 0.390 0.000 0.750
14 Pb 0.390 0.390 0.250
15 Pb 0.610 0.000 0.250
16 Pb 0.610 0.610 0.750

The 6 most intense peaks (2θ = 10–90°), most intense first:
2θ 31.83, rel. 100; 2θ 33.11, rel. 72; 2θ 32.66, rel. 50; 2θ 50.93, rel. 31; 2θ 27.09, rel. 25; 2θ 41.91, rel. 22

---

[4]
Na5B7C3: theoretical X-ray diffraction stick pattern (Cu Kα), based on DFT lattice parameters and positions (PBE).
Intensities are scaled so that the largest is 100.

Cell and atoms:
Lattice parameters (Å, degrees): 8.555 12.912 12.912 12.61 90.00 90.00
Positions (direct):
1 Na 0.245 0.000 0.000
2 Na 0.247 0.399 0.399
3 Na 0.248 0.201 0.201
4 Na 0.248 0.601 0.601
5 Na 0.251 0.800 0.800
6 Na 0.749 0.800 0.800
7 Na 0.752 0.201 0.201
8 Na 0.752 0.601 0.601
9 Na 0.753 0.399 0.399
10 Na 0.755 0.000 0.000
11 B 0.000 0.074 0.074
12 B 0.000 0.266 0.266
13 B 0.000 0.460 0.460
14 B 0.000 0.533 0.533
15 B 0.000 0.670 0.670
16 B 0.000 0.863 0.863
17 B 0.500 0.072 0.072
18 B 0.500 0.139 0.139
19 B 0.500 0.268 0.268
20 B 0.500 0.335 0.335
21 B 0.500 0.467 0.467
22 B 0.500 0.532 0.532
23 B 0.500 0.730 0.730
24 B 0.500 0.926 0.926
25 C 0.000 0.137 0.137
26 C 0.000 0.331 0.331
27 C 0.000 0.734 0.734
28 C 0.000 0.929 0.929
29 C 0.500 0.668 0.668
30 C 0.500 0.866 0.866

The 6 most intense peaks (2θ = 10–90°), most intense first:
2θ 42.09, rel. 100; 2θ 41.01, rel. 51; 2θ 42.26, rel. 38; 2θ 63.50, rel. 18; 2θ 36.20, rel. 17; 2θ 79.26, rel. 17

---

[5]
Ga3Cu3Te4Se2: theoretical X-ray diffraction stick pattern (Cu Kα), based on DFT lattice parameters and positions (PBE).
Intensities are scaled so that the largest is 100.

Cell and atoms:
Lattice parameters (Å, degrees): 11.129 11.129 7.267 90.16 90.16 44.51
Positions (direct):
1 Ga 0.118 0.882 0.500
2 Ga 0.203 0.472 0.355
3 Ga 0.472 0.203 0.855
4 Ga 0.544 0.795 0.673
5 Ga 0.795 0.544 0.173
6 Ga 0.882 0.118 0.000
7 Cu 0.037 0.284 0.680
8 Cu 0.284 0.037 0.180
9 Cu 0.365 0.646 0.018
10 Cu 0.646 0.365 0.518
11 Cu 0.727 0.954 0.328
12 Cu 0.954 0.727 0.828
13 Te 0.089 0.326 0.353
14 Te 0.244 0.517 0.008
15 Te 0.326 0.089 0.853
16 Te 0.420 0.662 0.678
17 Te 0.517 0.244 0.508
18 Te 0.580 0.849 0.332
19 Te 0.662 0.420 0.178
20 Te 0.849 0.580 0.832
21 Se 0.162 0.923 0.175
22 Se 0.762 0.994 0.007
23 Se 0.923 0.162 0.675
24 Se 0.994 0.762 0.507

The 6 most intense peaks (2θ = 10–90°), most intense first:
2θ 25.95, rel. 100; 2θ 43.05, rel. 47; 2θ 50.87, rel. 29; 2θ 42.95, rel. 24; 2θ 68.82, rel. 11; 2θ 51.03, rel. 11

---

[6]
LiH2CO3: theoretical X-ray diffraction stick pattern (Cu Kα), based on DFT lattice parameters and positions (PBE).
Intensities are scaled so that the largest is 100.

Cell and atoms:
Lattice parameters (Å, degrees): 10.178 6.353 4.481 90.00 90.00 90.00
Positions (direct):
1 Li 0.060 0.121 0.000
2 Li 0.440 0.621 0.500
3 Li 0.560 0.379 0.000
4 Li 0.940 0.879 0.500
5 H 0.104 0.557 0.388
6 H 0.204 0.584 0.876
7 H 0.296 0.084 0.376
8 H 0.396 0.057 0.888
9 H 0.604 0.943 0.388
10 H 0.704 0.916 0.876
11 H 0.796 0.416 0.376
12 H 0.896 0.443 0.888
13 C 0.211 0.069 0.529
14 C 0.289 0.569 0.029
15 C 0.711 0.431 0.529
16 C 0.789 0.931 0.029
17 O 0.008 0.588 0.424
18 O 0.096 0.059 0.417
19 O 0.234 0.061 0.807
20 O 0.266 0.561 0.307
21 O 0.404 0.559 0.917
22 O 0.492 0.088 0.924
23 O 0.508 0.912 0.424
24 O 0.596 0.441 0.417
25 O 0.734 0.439 0.807
26 O 0.766 0.939 0.307
27 O 0.904 0.941 0.917
28 O 0.992 0.412 0.924

The 6 most intense peaks (2θ = 10–90°), most intense first:
2θ 28.09, rel. 100; 2θ 29.46, rel. 94; 2θ 25.86, rel. 73; 2θ 29.86, rel. 66; 2θ 35.76, rel. 49; 2θ 36.09, rel. 46

---

[7]
Tb3InS2: theoretical X-ray diffraction stick pattern (Cu Kα), based on DFT lattice parameters and positions (PBE).
Intensities are scaled so that the largest is 100.

Cell and atoms:
Lattice parameters (Å, degrees): 6.682 6.682 9.570 90.00 90.00 136.58
Positions (direct):
1 Tb 0.106 0.894 0.750
2 Tb 0.368 0.632 0.550
3 Tb 0.368 0.632 0.950
4 Tb 0.632 0.368 0.050
5 Tb 0.632 0.368 0.450
6 Tb 0.894 0.106 0.250
7 In 0.222 0.778 0.250
8 In 0.778 0.222 0.750
9 S 0.000 0.000 0.000
10 S 0.000 0.000 0.500
11 S 0.468 0.532 0.250
12 S 0.532 0.468 0.750

The 6 most intense peaks (2θ = 10–90°), most intense first:
2θ 33.90, rel. 100; 2θ 29.66, rel. 77; 2θ 26.91, rel. 74; 2θ 36.35, rel. 59; 2θ 31.53, rel. 58; 2θ 48.87, rel. 35

---

[8]
Sm4Tm4Pb7: theoretical X-ray diffraction stick pattern (Cu Kα), based on DFT lattice parameters and positions (PBE).
Intensities are scaled so that the largest is 100.

Cell and atoms:
Lattice parameters (Å, degrees): 12.044 12.044 12.044 94.52 94.52 147.38
Positions (direct):
1 Sm 0.000 0.186 0.186
2 Sm 0.000 0.814 0.814
3 Sm 0.186 0.000 0.186
4 Sm 0.370 0.370 0.741
5 Sm 0.370 0.630 0.000
6 Sm 0.630 0.370 0.000
7 Sm 0.630 0.630 0.259
8 Sm 0.814 0.000 0.814
9 Tm 0.099 0.599 0.198
10 Tm 0.099 0.901 0.500
11 Tm 0.401 0.599 0.500
12 Tm 0.401 0.901 0.802
13 Tm 0.599 0.099 0.198
14 Tm 0.599 0.401 0.500
15 Tm 0.901 0.099 0.500
16 Tm 0.901 0.401 0.802
17 Pb 0.000 0.403 0.403
18 Pb 0.000 0.597 0.597
19 Pb 0.195 0.195 0.389
20 Pb 0.195 0.805 0.000
21 Pb 0.228 0.500 0.728
22 Pb 0.247 0.247 0.000
23 Pb 0.403 0.000 0.403
24 Pb 0.500 0.228 0.728
25 Pb 0.500 0.772 0.272
26 Pb 0.597 0.000 0.597
27 Pb 0.753 0.753 0.000
28 Pb 0.772 0.500 0.272
29 Pb 0.805 0.195 0.000
30 Pb 0.805 0.805 0.611

The 6 most intense peaks (2θ = 10–90°), most intense first:
2θ 30.37, rel. 100; 2θ 31.61, rel. 66; 2θ 32.87, rel. 28; 2θ 49.08, rel. 27; 2θ 35.31, rel. 19; 2θ 36.18, rel. 19

---

[9]
Tc5Hg: theoretical X-ray diffraction stick pattern (Cu Kα), based on DFT lattice parameters and positions (PBE).
Intensities are scaled so that the largest is 100.

Cell and atoms:
Lattice parameters (Å, degrees): 2.809 2.809 13.668 90.00 90.00 120.00
Positions (direct):
1 Tc 0.000 0.000 0.000
2 Tc 0.000 0.000 0.314
3 Tc 0.000 0.000 0.686
4 Tc 0.333 0.667 0.162
5 Tc 0.333 0.667 0.838
6 Hg 0.333 0.667 0.500

The 6 most intense peaks (2θ = 10–90°), most intense first:
2θ 42.10, rel. 100; 2θ 36.95, rel. 26; 2θ 39.56, rel. 23; 2θ 80.30, rel. 17; 2θ 66.58, rel. 17; 2θ 55.24, rel. 15

---

[10]
Ac2LaRuO8: theoretical X-ray diffraction stick pattern (Cu Kα), based on DFT lattice parameters and positions (PBE).
Intensities are scaled so that the largest is 100.

Cell and atoms:
Lattice parameters (Å, degrees): 4.527 7.401 5.602 90.00 96.52 90.00
Positions (direct):
1 Ac 0.000 0.241 0.000
2 Ac 0.000 0.759 0.000
3 La 0.500 0.500 0.500
4 Ru 0.500 0.000 0.500
5 O 0.052 0.500 0.249
6 O 0.120 0.000 0.346
7 O 0.429 0.201 0.726
8 O 0.429 0.799 0.726
9 O 0.571 0.201 0.274
10 O 0.571 0.799 0.274
11 O 0.880 0.000 0.654
12 O 0.948 0.500 0.751

The 6 most intense peaks (2θ = 10–90°), most intense first:
2θ 28.98, rel. 100; 2θ 23.99, rel. 83; 2θ 26.86, rel. 58; 2θ 31.30, rel. 56; 2θ 43.74, rel. 43; 2θ 47.21, rel. 32

---

[11]
BaPmMg2Tl4: theoretical X-ray diffraction stick pattern (Cu Kα), based on DFT lattice parameters and positions (PBE).
Intensities are scaled so that the largest is 100.

Cell and atoms:
Lattice parameters (Å, degrees): 11.741 11.741 11.741 24.49 24.49 24.49
Positions (direct):
1 Ba 0.000 0.000 0.000
2 Pm 0.500 0.500 0.500
3 Mg 0.236 0.236 0.236
4 Mg 0.764 0.764 0.764
5 Tl 0.121 0.121 0.121
6 Tl 0.396 0.396 0.396
7 Tl 0.604 0.604 0.604
8 Tl 0.879 0.879 0.879

The 6 most intense peaks (2θ = 10–90°), most intense first:
2θ 29.44, rel. 100; 2θ 36.07, rel. 92; 2θ 33.47, rel. 46; 2θ 23.11, rel. 37; 2θ 21.25, rel. 34; 2θ 47.22, rel. 28

---

[12]
Y2ZnSi3: theoretical X-ray diffraction stick pattern (Cu Kα), based on DFT lattice parameters and positions (PBE).
Intensities are scaled so that the largest is 100.

Cell and atoms:
Lattice parameters (Å, degrees): 4.046 4.101 13.928 90.00 90.00 90.00
Positions (direct):
1 Y 0.000 0.000 0.000
2 Y 0.000 0.500 0.260
3 Y 0.500 0.000 0.760
4 Y 0.500 0.500 0.500
5 Zn 0.000 0.000 0.591
6 Zn 0.500 0.500 0.091
7 Si 0.000 0.000 0.424
8 Si 0.000 0.500 0.672
9 Si 0.000 0.500 0.838
10 Si 0.500 0.000 0.172
11 Si 0.500 0.000 0.338
12 Si 0.500 0.500 0.924

The 6 most intense peaks (2θ = 10–90°), most intense first:
2θ 33.67, rel. 100; 2θ 29.28, rel. 32; 2θ 39.09, rel. 31; 2θ 44.17, rel. 19; 2θ 39.27, rel. 19; 2θ 44.80, rel. 18